Diffraction record for Nb6Re5Tc. The X-ray powder pattern is simulated, not measured: it uses DFT lattice parameters and positions (GGA-PBE) and Cu Kα.
Peak positions follow from Bragg's law for the DFT cell and can differ from measured ones.

Main lines, in order of rising 2θ (2θ from 15° to 90°):
- 2θ 19.03, rel. 1
- 2θ 24.95, rel. 1
- 2θ 27.85, rel. 10
- 2θ 39.79, rel. 100
- 2θ 49.26, rel. 3
- 2θ 57.53, rel. 17
- 2θ 65.10, rel. 4
- 2θ 72.23, rel. 34
- 2θ 85.78, rel. 11

Cell: 7.164 7.164 6.409 Å, 90.00 90.00 143.14°
Element x y z (fractional)
Nb 0.000 0.000 0.250
Nb 0.000 0.000 0.750
Nb 0.333 0.667 0.250
Nb 0.333 0.667 0.750
Nb 0.667 0.333 0.250
Nb 0.667 0.333 0.750
Re 0.167 0.833 0.000
Re 0.167 0.833 0.500
Re 0.500 0.500 0.000
Re 0.833 0.167 0.000
Re 0.833 0.167 0.500
Tc 0.500 0.500 0.500

Diffraction record for MgHgO2. The X-ray powder pattern is simulated, not measured: it uses DFT lattice parameters and positions (GGA-PBE) and Cu Kα.
Peak positions follow from Bragg's law for the DFT cell and can differ from measured ones.

Main lines, in order of rising 2θ (2θ from 15° to 90°):
- 2θ 15.05, rel. 100
- 2θ 28.94, rel. 75
- 2θ 30.37, rel. 34
- 2θ 30.92, rel. 31
- 2θ 33.01, rel. 36
- 2θ 36.05, rel. 20
- 2θ 36.25, rel. 42
- 2θ 42.23, rel. 28
- 2θ 43.49, rel. 25
- 2θ 46.62, rel. 20

Cell: 6.508 6.508 5.817 Å, 110.43 110.43 28.43°
Element x y z (fractional)
Mg 0.000 0.500 0.000
Mg 0.500 0.000 0.500
Hg 0.000 0.000 0.000
Hg 0.000 0.000 0.500
O 0.073 0.605 0.398
O 0.395 0.927 0.102
O 0.605 0.073 0.898
O 0.927 0.395 0.602

Diffraction record for Ac2Zn5In3. The X-ray powder pattern is simulated, not measured: it uses DFT lattice parameters and positions (GGA-PBE) and Cu Kα.
Peak positions follow from Bragg's law for the DFT cell and can differ from measured ones.

Main lines, in order of rising 2θ (2θ from 15° to 90°):
- 2θ 27.32, rel. 36
- 2θ 30.95, rel. 100
- 2θ 31.75, rel. 64
- 2θ 31.83, rel. 59
- 2θ 39.03, rel. 74
- 2θ 45.28, rel. 38
- 2θ 50.57, rel. 26
- 2θ 50.67, rel. 25
- 2θ 57.17, rel. 18
- 2θ 61.28, rel. 30

Cell: 9.168 9.168 9.168 Å, 105.37 89.39 138.22°
Element x y z (fractional)
Ac 0.125 0.239 0.364
Ac 0.375 0.739 0.114
Ac 0.625 0.261 0.886
Ac 0.875 0.761 0.636
Zn 0.018 0.750 0.268
Zn 0.130 0.636 0.766
Zn 0.250 0.250 0.000
Zn 0.370 0.136 0.506
Zn 0.482 0.750 0.732
Zn 0.518 0.250 0.268
Zn 0.630 0.864 0.494
Zn 0.750 0.750 0.000
Zn 0.870 0.364 0.234
Zn 0.982 0.250 0.732
In 0.132 0.877 0.009
In 0.250 0.750 0.500
In 0.368 0.377 0.745
In 0.632 0.623 0.255
In 0.750 0.250 0.500
In 0.868 0.123 0.991

Diffraction record for H5Pt. The X-ray powder pattern is simulated, not measured: it uses DFT lattice parameters and positions (GGA-PBE) and Cu Kα.
Peak positions follow from Bragg's law for the DFT cell and can differ from measured ones.

Main lines, in order of rising 2θ (2θ from 15° to 90°):
- 2θ 27.20, rel. 100
- 2θ 29.48, rel. 43
- 2θ 33.10, rel. 32
- 2θ 34.11, rel. 28
- 2θ 34.44, rel. 54
- 2θ 38.49, rel. 20
- 2θ 42.40, rel. 30
- 2θ 44.29, rel. 27
- 2θ 45.89, rel. 37
- 2θ 53.86, rel. 24

Cell: 2.740 3.406 6.366 Å, 105.48 98.66 90.01°
Element x y z (fractional)
H 0.000 0.000 0.000
H 0.003 0.932 0.877
H 0.187 0.269 0.556
H 0.442 0.629 0.274
H 0.913 0.180 0.379
Pt 0.006 0.717 0.453

Diffraction record for BaSiP4H2O14. The X-ray powder pattern is simulated, not measured: it uses DFT lattice parameters and positions (GGA-PBE) and Cu Kα.
Peak positions follow from Bragg's law for the DFT cell and can differ from measured ones.

Main lines, in order of rising 2θ (2θ from 15° to 90°):
- 2θ 19.64, rel. 36
- 2θ 21.20, rel. 47
- 2θ 22.02, rel. 48
- 2θ 25.13, rel. 50
- 2θ 26.48, rel. 78
- 2θ 27.54, rel. 100
- 2θ 28.20, rel. 23
- 2θ 28.51, rel. 37
- 2θ 29.69, rel. 19
- 2θ 31.44, rel. 42

Cell: 4.673 6.715 9.258 Å, 74.04 85.76 75.32°
Element x y z (fractional)
Ba 0.000 0.000 0.000
Si 0.000 0.000 0.500
P 0.099 0.553 0.737
P 0.416 0.160 0.666
P 0.584 0.840 0.334
P 0.901 0.447 0.263
H 0.450 0.468 0.173
H 0.550 0.532 0.827
O 0.063 0.234 0.367
O 0.116 0.564 0.170
O 0.155 0.067 0.647
O 0.288 0.417 0.629
O 0.324 0.592 0.837
O 0.352 0.856 0.458
O 0.485 0.925 0.172
O 0.515 0.075 0.828
O 0.648 0.144 0.542
O 0.676 0.408 0.163
O 0.712 0.583 0.371
O 0.845 0.933 0.353
O 0.884 0.436 0.830
O 0.937 0.766 0.633

Diffraction record for BC3. The X-ray powder pattern is simulated, not measured: it uses DFT lattice parameters and positions (GGA-PBE) and Cu Kα.
Peak positions follow from Bragg's law for the DFT cell and can differ from measured ones.

Main lines, in order of rising 2θ (2θ from 15° to 90°):
- 2θ 23.82, rel. 6
- 2θ 42.03, rel. 100
- 2θ 43.04, rel. 56
- 2θ 43.35, rel. 45
- 2θ 71.87, rel. 24
- 2θ 72.19, rel. 14
- 2θ 72.45, rel. 13
- 2θ 72.56, rel. 13
- 2θ 75.82, rel. 11
- 2θ 88.30, rel. 9

Cell: 4.397 4.527 4.529 Å, 60.64 78.75 71.95°
Element x y z (fractional)
B 0.000 0.000 0.000
B 0.142 0.374 0.577
B 0.536 0.873 0.282
C 0.014 0.380 0.264
C 0.018 0.730 0.613
C 0.148 0.007 0.291
C 0.152 0.656 0.949
C 0.521 0.552 0.937
C 0.524 0.211 0.611
C 0.647 0.498 0.270
C 0.652 0.843 0.622
C 0.653 0.212 0.902

Diffraction record for AgSbOs. The X-ray powder pattern is simulated, not measured: it uses DFT lattice parameters and positions (GGA-PBE) and Cu Kα.
Peak positions follow from Bragg's law for the DFT cell and can differ from measured ones.

Main lines, in order of rising 2θ (2θ from 15° to 90°):
- 2θ 17.57, rel. 12
- 2θ 38.10, rel. 100
- 2θ 38.40, rel. 53
- 2θ 53.11, rel. 7
- 2θ 54.54, rel. 7
- 2θ 55.44, rel. 18
- 2θ 68.66, rel. 14
- 2θ 69.25, rel. 34
- 2θ 81.52, rel. 9
- 2θ 82.26, rel. 6

Cell: 5.566 5.566 5.566 Å, 145.35 145.35 49.81°
Element x y z (fractional)
Ag 0.000 0.000 0.000
Sb 0.689 0.689 0.000
Os 0.321 0.321 0.000

Diffraction record for MgFe4Pb. The X-ray powder pattern is simulated, not measured: it uses DFT lattice parameters and positions (GGA-PBE) and Cu Kα.
Peak positions follow from Bragg's law for the DFT cell and can differ from measured ones.

Main lines, in order of rising 2θ (2θ from 15° to 90°):
- 2θ 21.74, rel. 32
- 2θ 25.15, rel. 34
- 2θ 35.87, rel. 45
- 2θ 42.33, rel. 100
- 2θ 44.31, rel. 27
- 2θ 56.66, rel. 9
- 2θ 58.27, rel. 13
- 2θ 64.46, rel. 17
- 2θ 68.90, rel. 31
- 2θ 76.02, rel. 19

Cell: 5.007 5.007 5.007 Å, 60.00 60.00 60.00°
Element x y z (fractional)
Mg 0.000 0.000 0.000
Fe 0.374 0.374 0.374
Fe 0.374 0.374 0.879
Fe 0.374 0.879 0.374
Fe 0.879 0.374 0.374
Pb 0.750 0.750 0.750